Diffraction record for DyAl2ZnAu2. The X-ray powder pattern is computed, not measured: it uses a cell relaxed with PBE and Cu Ka.
Intensities are scaled so that the largest is 100.

a b c (Å): 4.413 4.413 6.738
angles (deg): 90.00 90.00 120.00
Element x y z (fractional)
Dy: 0.000 0.000 0.000
Al: 0.333 0.667 0.305
Al: 0.667 0.333 0.695
Zn: 0.000 0.000 0.500
Au: 0.333 0.667 0.726
Au: 0.667 0.333 0.274

Most intense lines, 10 to 80 degrees two-theta, in order of rising 2θ:
- 2θ 26.82, 3.324 Å, intensity 100
- 2θ 35.52, 2.527 Å, intensity 95
- 2θ 40.90, 2.207 Å, intensity 75
- 2θ 46.92, 1.936 Å, intensity 18
- 2θ 49.58, 1.838 Å, intensity 20
- 2θ 55.26, 1.662 Å, intensity 27
- 2θ 66.16, 1.412 Å, intensity 17
- 2θ 70.30, 1.339 Å, intensity 21
- 2θ 70.99, 1.328 Å, intensity 25
- 2θ 74.48, 1.274 Å, intensity 13

---

Diffraction record for HAuN. The X-ray powder pattern is computed, not measured: it uses a cell relaxed with PBE and Cu Ka.
Intensities are scaled so that the largest is 100.

a b c (Å): 3.199 3.199 3.345
angles (deg): 90.00 90.00 90.00
Element x y z (fractional)
H: 0.000 0.000 0.000
Au: 0.500 0.500 0.369
N: 0.000 0.000 0.310

Most intense lines, 10 to 80 degrees two-theta, in order of rising 2θ:
- 2θ 26.65, 3.345 Å, intensity 75
- 2θ 27.89, 3.199 Å, intensity 100
- 2θ 38.96, 2.312 Å, intensity 89
- 2θ 39.86, 2.262 Å, intensity 54
- 2θ 48.59, 1.874 Å, intensity 59
- 2θ 62.69, 1.482 Å, intensity 23
- 2θ 64.59, 1.443 Å, intensity 25
- 2θ 65.22, 1.430 Å, intensity 20
- 2θ 69.96, 1.345 Å, intensity 20
- 2θ 71.77, 1.315 Å, intensity 31

---

Diffraction record for ErV2Fe10N. The X-ray powder pattern is computed, not measured: it uses a cell relaxed with PBE and Cu Ka.
Intensities are scaled so that the largest is 100.

a b c (Å): 6.490 6.490 6.490
angles (deg): 137.33 97.80 97.41
Element x y z (fractional)
Er: 0.000 0.000 0.000
V: 0.359 0.359 0.000
V: 0.641 0.641 0.000
Fe: 0.000 0.000 0.500
Fe: 0.000 0.500 0.000
Fe: 0.223 0.723 0.500
Fe: 0.225 0.500 0.725
Fe: 0.360 0.000 0.360
Fe: 0.500 0.000 0.000
Fe: 0.500 0.500 0.500
Fe: 0.640 0.000 0.640
Fe: 0.775 0.500 0.275
Fe: 0.777 0.277 0.500
N: 0.000 0.500 0.500

Most intense lines, 10 to 80 degrees two-theta, in order of rising 2θ:
- 2θ 30.07, 2.971 Å, intensity 39
- 2θ 36.78, 2.443 Å, intensity 22
- 2θ 36.89, 2.436 Å, intensity 21
- 2θ 38.11, 2.361 Å, intensity 17
- 2θ 42.20, 2.142 Å, intensity 35
- 2θ 42.37, 2.133 Å, intensity 31
- 2θ 42.67, 2.119 Å, intensity 100
- 2θ 43.80, 2.067 Å, intensity 76
- 2θ 48.95, 1.861 Å, intensity 21
- 2θ 72.00, 1.311 Å, intensity 20

---

Diffraction record for Rb3CuBr6. The X-ray powder pattern is computed, not measured: it uses a cell relaxed with PBE and Cu Ka.
Intensities are scaled so that the largest is 100.

a b c (Å): 12.046 12.046 5.965
angles (deg): 90.00 90.00 104.87
Element x y z (fractional)
Rb: 0.116 0.884 0.500
Rb: 0.196 0.440 0.474
Rb: 0.440 0.196 0.974
Rb: 0.560 0.804 0.474
Rb: 0.804 0.560 0.974
Rb: 0.884 0.116 0.000
Cu: 0.292 0.708 0.900
Cu: 0.708 0.292 0.400
Br: 0.090 0.630 0.806
Br: 0.163 0.166 0.733
Br: 0.166 0.163 0.233
Br: 0.284 0.716 0.300
Br: 0.370 0.910 0.806
Br: 0.417 0.583 0.841
Br: 0.583 0.417 0.341
Br: 0.630 0.090 0.306
Br: 0.716 0.284 0.800
Br: 0.834 0.837 0.733
Br: 0.837 0.834 0.233
Br: 0.910 0.370 0.306

Most intense lines, 10 to 80 degrees two-theta, in order of rising 2θ:
- 2θ 15.19, 5.832 Å, intensity 48
- 2θ 21.32, 4.168 Å, intensity 100
- 2θ 23.93, 3.719 Å, intensity 26
- 2θ 27.42, 3.253 Å, intensity 48
- 2θ 29.66, 3.012 Å, intensity 67
- 2θ 30.07, 2.972 Å, intensity 19
- 2θ 35.53, 2.527 Å, intensity 89
- 2θ 36.71, 2.448 Å, intensity 40
- 2θ 51.99, 1.759 Å, intensity 23
- 2θ 56.44, 1.630 Å, intensity 22